Starting from a GGA-PBE-relaxed structure, the powder XRD pattern of Li3Y2Tl4 was calculated for a wavelength of 1.5418 Å.
Lines closer than 0.1° are merged.

Principal peaks in the range 5 to 70 degrees two-theta, by angle:
| 2theta | d_spacing | Rel. int. |
| --- | --- | --- |
| 23.4 | 3.799 | 94 |
| 24.6 | 3.621 | 36 |
| 30.2 | 2.955 | 49 |
| 34.0 | 2.640 | 100 |
| 34.5 | 2.603 | 63 |
| 36.2 | 2.480 | 46 |

Atomic structure:
```
Li3Y2Tl4
1.0
4.6239 -2.4796 0.0000
4.6239 2.4796 0.0000
-1.8945 0.0000 9.2592
Li Y Tl
3 2 4
Direct
0.0000 0.0000 0.0000 Li
0.3827 0.3827 0.4123 Li
0.6173 0.6173 0.5877 Li
0.2894 0.2894 0.7583 Y
0.7106 0.7106 0.2417 Y
0.0741 0.0741 0.3733 Tl
0.3589 0.3589 0.1031 Tl
0.6411 0.6411 0.8969 Tl
0.9259 0.9259 0.6267 Tl
```

=====

Starting from a GGA-PBE-relaxed structure, the powder XRD pattern of AgHCl2 was calculated for a wavelength of 1.5418 Å.
Lines closer than 0.1° are merged.

Principal peaks in the range 5 to 70 degrees two-theta, by angle:
| 2theta | d_spacing | Rel. int. |
| --- | --- | --- |
| 15.1 | 5.879 | 80 |
| 26.5 | 3.369 | 100 |
| 35.4 | 2.535 | 67 |
| 43.0 | 2.105 | 40 |
| 43.7 | 2.073 | 30 |
| 45.8 | 1.981 | 28 |

Atomic structure:
```
AgHCl2
1.0
3.6435 -2.1056 0.0000
3.6435 2.1056 0.0000
-0.0339 0.0000 17.6365
Ag H Cl
3 3 6
Direct
0.0000 0.0000 0.0000 Ag
0.3290 0.3420 0.6666 Ag
0.6580 0.6710 0.3334 Ag
0.3290 0.3354 0.1667 H
0.6646 0.6710 0.8333 H
0.9936 0.0064 0.5000 H
0.3265 0.3361 0.2551 Cl
0.3337 0.3326 0.0783 Cl
0.6639 0.6735 0.7449 Cl
0.6674 0.6663 0.9217 Cl
0.9928 0.0038 0.4116 Cl
0.9962 0.0072 0.5884 Cl
```

=====

Starting from a GGA-PBE-relaxed structure, the powder XRD pattern of CsLi2Si2 was calculated for a wavelength of 1.5418 Å.
Lines closer than 0.1° are merged.

Principal peaks in the range 5 to 70 degrees two-theta, by angle:
| 2theta | d_spacing | Rel. int. |
| --- | --- | --- |
| 19.5 | 4.550 | 75 |
| 24.4 | 3.655 | 100 |
| 30.8 | 2.907 | 74 |
| 32.9 | 2.719 | 76 |
| 34.7 | 2.584 | 48 |
| 48.6 | 1.873 | 49 |

Atomic structure:
```
CsLi2Si2
1.0
-2.5844 2.5844 4.7962
2.5844 -2.5844 4.7962
2.5844 2.5844 -4.7962
Cs Li Si
1 2 2
Direct
0.0000 0.0000 0.0000 Cs
0.2500 0.7500 0.5000 Li
0.7500 0.2500 0.5000 Li
0.3838 0.3838 0.0000 Si
0.6162 0.6162 0.0000 Si
```

=====

Starting from a GGA-PBE-relaxed structure, the powder XRD pattern of LiPrCdHg2 was calculated for a wavelength of 1.5418 Å.
Lines closer than 0.1° are merged.

Principal peaks in the range 5 to 70 degrees two-theta, by angle:
| 2theta | d_spacing | Rel. int. |
| --- | --- | --- |
| 28.1 | 3.177 | 30 |
| 32.4 | 2.767 | 32 |
| 34.0 | 2.640 | 100 |
| 43.4 | 2.087 | 20 |
| 53.6 | 1.711 | 14 |
| 58.7 | 1.572 | 21 |

Atomic structure:
```
LiPrCdHg2
1.0
5.5337 0.0000 0.0000
0.0000 6.8163 0.0000
0.0000 0.0000 6.3543
Li Pr Cd Hg
2 2 2 4
Direct
0.0000 0.0000 0.0000 Li
0.5000 0.0000 0.0000 Li
0.2500 0.5000 0.2210 Pr
0.7500 0.5000 0.7790 Pr
0.2500 0.0000 0.3722 Cd
0.7500 0.0000 0.6278 Cd
0.2500 0.2662 0.7389 Hg
0.2500 0.7338 0.7389 Hg
0.7500 0.2662 0.2611 Hg
0.7500 0.7338 0.2611 Hg
```

=====

Starting from a GGA-PBE-relaxed structure, the powder XRD pattern of ThSnBr6 was calculated for a wavelength of 1.5418 Å.
Lines closer than 0.1° are merged.

Principal peaks in the range 5 to 70 degrees two-theta, by angle:
| 2theta | d_spacing | Rel. int. |
| --- | --- | --- |
| 14.0 | 6.320 | 82 |
| 15.4 | 5.744 | 100 |
| 19.2 | 4.617 | 63 |
| 23.2 | 3.836 | 62 |
| 32.5 | 2.757 | 60 |
| 35.6 | 2.524 | 67 |

Atomic structure:
```
ThSnBr6
1.0
6.7918 -4.3338 0.0000
6.7918 4.3338 0.0000
-2.0466 0.0000 10.6957
Th Sn Br
2 2 12
Direct
0.0000 0.5000 0.0000 Th
0.5000 0.0000 0.5000 Th
0.0291 0.9709 0.7500 Sn
0.9709 0.0291 0.2500 Sn
0.1174 0.2420 0.4590 Br
0.1657 0.5647 0.2366 Br
0.2068 0.6446 0.8814 Br
0.2420 0.1174 0.9590 Br
0.3554 0.7932 0.6186 Br
0.4353 0.8343 0.2634 Br
0.5647 0.1657 0.7366 Br
0.6446 0.2068 0.3814 Br
0.7580 0.8826 0.0410 Br
0.7932 0.3554 0.1186 Br
0.8343 0.4353 0.7634 Br
0.8826 0.7580 0.5410 Br
```

=====

Starting from a GGA-PBE-relaxed structure, the powder XRD pattern of Dy2Ni3P4 was calculated for a wavelength of 1.5418 Å.
Lines closer than 0.1° are merged.

Principal peaks in the range 5 to 70 degrees two-theta, by angle:
| 2theta | d_spacing | Rel. int. |
| --- | --- | --- |
| 28.0 | 3.182 | 41 |
| 36.0 | 2.492 | 60 |
| 37.6 | 2.393 | 100 |
| 38.3 | 2.350 | 51 |
| 41.0 | 2.204 | 55 |
| 42.8 | 2.111 | 51 |

Atomic structure:
```
Dy2Ni3P4
1.0
2.6597 -7.2609 0.0000
2.6597 7.2609 0.0000
0.0000 0.0000 6.9387
Dy Ni P
4 6 8
Direct
0.1137 0.8863 0.9126 Dy
0.3863 0.6137 0.4126 Dy
0.6137 0.3863 0.5874 Dy
0.8863 0.1137 0.0874 Dy
0.0000 0.0000 0.5000 Ni
0.0384 0.4616 0.7500 Ni
0.4616 0.0384 0.2500 Ni
0.5000 0.5000 0.0000 Ni
0.5384 0.9616 0.7500 Ni
0.9616 0.5384 0.2500 Ni
0.1965 0.8035 0.5436 P
0.1994 0.3006 0.7500 P
0.3006 0.1994 0.2500 P
0.3035 0.6965 0.0436 P
0.6965 0.3035 0.9564 P
0.6994 0.8006 0.7500 P
0.8006 0.6994 0.2500 P
0.8035 0.1965 0.4564 P
```

=====

Starting from a GGA-PBE-relaxed structure, the powder XRD pattern of Nd2TmAs3 was calculated for a wavelength of 1.5418 Å.
Lines closer than 0.1° are merged.

Principal peaks in the range 5 to 70 degrees two-theta, by angle:
| 2theta | d_spacing | Rel. int. |
| --- | --- | --- |
| 25.9 | 3.436 | 20 |
| 30.0 | 2.976 | 100 |
| 43.0 | 2.104 | 75 |
| 50.9 | 1.794 | 10 |
| 53.3 | 1.718 | 26 |
| 62.4 | 1.489 | 8 |

Atomic structure:
```
Nd2TmAs3
1.0
-2.1052 2.1052 8.9186
2.1052 -2.1052 8.9186
2.1052 2.1052 -8.9186
Nd Tm As
2 1 3
Direct
0.1661 0.1661 0.0000 Nd
0.8339 0.8339 0.0000 Nd
0.5000 0.5000 0.0000 Tm
0.0000 0.0000 0.0000 As
0.3369 0.3369 0.0000 As
0.6631 0.6631 0.0000 As
```

=====

Starting from a GGA-PBE-relaxed structure, the powder XRD pattern of Dy12Fe5C15 was calculated for a wavelength of 1.5418 Å.
Lines closer than 0.1° are merged.

Principal peaks in the range 5 to 70 degrees two-theta, by angle:
| 2theta | d_spacing | Rel. int. |
| --- | --- | --- |
| 31.6 | 2.829 | 100 |
| 34.4 | 2.606 | 13 |
| 35.5 | 2.529 | 31 |
| 35.9 | 2.504 | 27 |
| 51.3 | 1.779 | 19 |
| 61.3 | 1.512 | 16 |

Atomic structure:
```
Dy12Fe5C15
1.0
10.4252 0.0000 0.0000
-5.2126 9.0285 0.0000
0.0000 0.0000 5.0581
Dy Fe C
12 5 15
Direct
0.0000 0.4338 0.0000 Dy
0.0000 0.7921 0.0000 Dy
0.1843 0.7299 0.5000 Dy
0.2079 0.2079 0.0000 Dy
0.2701 0.4544 0.5000 Dy
0.4338 0.0000 0.0000 Dy
0.4544 0.2701 0.5000 Dy
0.5456 0.8157 0.5000 Dy
0.5662 0.5662 0.0000 Dy
0.7299 0.1843 0.5000 Dy
0.7921 0.0000 0.0000 Dy
0.8157 0.5456 0.5000 Dy
0.0000 0.1555 0.5000 Fe
0.1555 0.0000 0.5000 Fe
0.3333 0.6667 0.0000 Fe
0.6667 0.3333 0.0000 Fe
0.8445 0.8445 0.5000 Fe
0.0000 0.3244 0.5000 C
0.0000 0.4532 0.5000 C
0.0000 0.8020 0.5000 C
0.1912 0.7157 0.0000 C
0.1980 0.1980 0.5000 C
0.2843 0.4755 0.0000 C
0.3244 0.0000 0.5000 C
0.4532 0.0000 0.5000 C
0.4755 0.2843 0.0000 C
0.5245 0.8088 0.0000 C
0.5468 0.5468 0.5000 C
0.6756 0.6756 0.5000 C
0.7157 0.1912 0.0000 C
0.8020 0.0000 0.5000 C
0.8088 0.5245 0.0000 C
```

=====

Starting from a GGA-PBE-relaxed structure, the powder XRD pattern of K2CeSnBr8 was calculated for a wavelength of 1.5418 Å.
Lines closer than 0.1° are merged.

Principal peaks in the range 5 to 70 degrees two-theta, by angle:
| 2theta | d_spacing | Rel. int. |
| --- | --- | --- |
| 11.7 | 7.593 | 52 |
| 16.7 | 5.295 | 61 |
| 25.8 | 3.451 | 100 |
| 27.2 | 3.276 | 52 |
| 33.9 | 2.648 | 92 |
| 40.8 | 2.212 | 60 |

Atomic structure:
```
K2CeSnBr8
1.0
7.0519 0.0000 0.0000
0.0000 9.0983 0.0000
-0.3721 0.0000 7.5935
K Ce Sn Br
2 1 1 8
Direct
0.0000 0.2456 0.0000 K
0.0000 0.7544 0.0000 K
0.5000 0.5000 0.5000 Ce
0.5000 0.0000 0.5000 Sn
0.2664 0.0000 0.1827 Br
0.2778 0.2667 0.6295 Br
0.2778 0.7333 0.6295 Br
0.2800 0.5000 0.1852 Br
0.7200 0.5000 0.8148 Br
0.7222 0.2667 0.3705 Br
0.7222 0.7333 0.3705 Br
0.7336 0.0000 0.8173 Br
```

=====

Q: Number 4 is which compound?
A: LiPrCdHg2